Structure and computed X-ray diffraction stick pattern of Pu2TeRh (a cell relaxed with GGA-PBE; Cu Ka).
Lines closer than 0.1° are merged.

Top 10 peaks for 10 to 90 degrees two-theta, in order of falling intensity:
30.0 deg, intensity 100
44.0 deg, intensity 38
41.7 deg, intensity 33
54.2 deg, intensity 19
72.3 deg, intensity 17
26.3 deg, intensity 16
79.4 deg, intensity 10
68.9 deg, intensity 10
62.2 deg, intensity 10
58.9 deg, intensity 7

Structural model:
Unit cell a=7.662 b=7.662 c=7.662 alpha=31.13 beta=31.13 gamma=31.13
Atoms (fractional coordinates):
Pu 0.237 0.237 0.237
Pu 0.763 0.763 0.763
Te 0.000 0.000 0.000
Rh 0.500 0.500 0.500